No. 1
Structure and calculated powder XRD pattern of CrNi2Pt4 (a cell relaxed with PBE; copper Kα).
Neutral-atom scattering factors, no anomalous dispersion.

Structural model:
```
CrNi2Pt4
1.0
-3.7411 3.7411 3.7136
3.7411 -3.7411 3.7136
3.7411 3.7411 -3.7136
Cr Ni Pt
2 4 8
Direct
0.0000 0.0000 0.0000 Cr
0.7500 0.2500 0.5000 Cr
0.2505 0.6250 0.1255 Ni
0.3750 0.5005 0.6255 Ni
0.4995 0.1250 0.8745 Ni
0.8750 0.7495 0.3745 Ni
0.1213 0.2071 0.7488 Pt
0.1224 0.7083 0.7512 Pt
0.2917 0.0429 0.4141 Pt
0.4583 0.3724 0.2512 Pt
0.6276 0.8787 0.0859 Pt
0.6287 0.8776 0.5859 Pt
0.7929 0.5417 0.9141 Pt
0.9571 0.3713 0.2488 Pt
```

Peak list (8 most intense, 10 to 90 degrees two-theta, by intensity)
- 2θ 38.04, intensity 100
- 2θ 45.42, intensity 95
- 2θ 29.27, intensity 62
- 2θ 45.58, intensity 54
- 2θ 38.29, intensity 46
- 2θ 60.71, intensity 38
- 2θ 29.38, intensity 32
- 2θ 63.40, intensity 21

No. 2
Structure and calculated powder XRD pattern of Y3Er4Co4 (a cell relaxed with PBE; copper Kα).
Neutral-atom scattering factors, no anomalous dispersion.

Structural model:
```
Y3Er4Co4
1.0
-1.8097 4.3658 7.7133
1.8097 -4.3658 7.7133
1.8097 4.3658 -7.7133
Y Er Co
3 4 4
Direct
0.0000 0.0000 0.0000 Y
0.3956 0.8956 0.5000 Y
0.6044 0.1044 0.5000 Y
0.0198 0.3341 0.6857 Er
0.3516 0.6659 0.6857 Er
0.6484 0.3341 0.3143 Er
0.9802 0.6659 0.3143 Er
0.2484 0.2484 0.0000 Co
0.2870 0.5000 0.7870 Co
0.7130 0.5000 0.2130 Co
0.7516 0.7516 0.0000 Co
```

Peak list (8 most intense, 10 to 90 degrees two-theta, by intensity)
- 2θ 35.48, intensity 100
- 2θ 32.66, intensity 64
- 2θ 30.20, intensity 36
- 2θ 40.73, intensity 28
- 2θ 63.94, intensity 23
- 2θ 41.50, intensity 21
- 2θ 63.14, intensity 21
- 2θ 50.43, intensity 19

No. 3
Structure and calculated powder XRD pattern of Nd3Ga2Ir2 (a cell relaxed with PBE; copper Kα).
Neutral-atom scattering factors, no anomalous dispersion.

Structural model:
```
Nd3Ga2Ir2
1.0
5.7312 0.0000 0.0000
0.0000 8.0731 0.0000
0.0000 0.0000 13.8670
Nd Ga Ir
12 8 8
Direct
0.1254 0.2411 0.2500 Nd
0.1254 0.2589 0.7500 Nd
0.3527 0.6016 0.0989 Nd
0.3527 0.6016 0.4011 Nd
0.3527 0.8984 0.5989 Nd
0.3527 0.8984 0.9011 Nd
0.6473 0.1016 0.0989 Nd
0.6473 0.1016 0.4011 Nd
0.6473 0.3984 0.5989 Nd
0.6473 0.3984 0.9011 Nd
0.8746 0.7411 0.2500 Nd
0.8746 0.7589 0.7500 Nd
0.1245 0.2500 0.0000 Ga
0.1245 0.2500 0.5000 Ga
0.3679 0.6056 0.7500 Ga
0.3679 0.8944 0.2500 Ga
0.6321 0.1056 0.7500 Ga
0.6321 0.3944 0.2500 Ga
0.8755 0.7500 0.0000 Ga
0.8755 0.7500 0.5000 Ga
0.1467 0.5314 0.5920 Ir
0.1467 0.5314 0.9080 Ir
0.1467 0.9686 0.0920 Ir
0.1467 0.9686 0.4080 Ir
0.8533 0.0314 0.5920 Ir
0.8533 0.0314 0.9080 Ir
0.8533 0.4686 0.0920 Ir
0.8533 0.4686 0.4080 Ir
```

Peak list (8 most intense, 10 to 90 degrees two-theta, by intensity)
- 2θ 38.61, intensity 100
- 2θ 36.90, intensity 51
- 2θ 34.09, intensity 46
- 2θ 33.36, intensity 36
- 2θ 38.97, intensity 35
- 2θ 32.15, intensity 31
- 2θ 33.82, intensity 29
- 2θ 41.92, intensity 27